No. 1
Theoretical X-ray powder pattern of LaTb4NdTm2 for Cu Ka, from a structure optimized by DFT (PBE).

Main lines, by angle (15 to 90 degrees two-theta):
d [Å], I/Imax
2.925, 100
2.533, 51
1.792, 24
1.789, 12
1.528, 32
1.525, 11
1.462, 12
1.267, 4
1.163, 12
1.161, 6
1.133, 8
1.132, 5

```
data_LaTb4NdTm2
_chemical_formula_sum 'La2 Tb8 Nd2 Tm4'
_cell_length_a 7.1664
_cell_length_b 7.1714
_cell_length_c 10.1163
_cell_angle_alpha 90.00
_cell_angle_beta 90.08
_cell_angle_gamma 90.00
_space_group_name_H-M_alt 'P 1 m 1'
_space_group_IT_number 6
_space_group_name_Hall 'P -2y'
loop_
_atom_site_label
_atom_site_type_symbol
_atom_site_fract_x
_atom_site_fract_y
_atom_site_fract_z
La1 La 0.0000 0.0000 0.0000
La2 La 0.5003 0.0000 0.0005
Tb1 Tb 0.2478 0.2534 0.2547
Tb2 Tb 0.2483 0.2530 0.7458
Tb3 Tb 0.7526 0.2529 0.7457
Tb4 Tb 0.7527 0.2536 0.2548
Nd1 Nd 0.5002 0.0000 0.5000
Nd2 Nd 0.5004 0.5000 0.0003
Tm1 Tm 0.0003 0.0000 0.5003
Tm2 Tm 0.0002 0.5000 0.0001
Tm3 Tm 0.0003 0.5000 0.5003
Tm4 Tm 0.5001 0.5000 0.5002
```

***

No. 2
Theoretical X-ray powder pattern of PmHo6In5 for Cu Ka, from a structure optimized by DFT (PBE).

Main lines, by angle (15 to 90 degrees two-theta):
d [Å], I/Imax
2.750, 100
2.510, 19
2.491, 20
2.187, 12
1.768, 13
1.649, 9
1.643, 10
1.491, 13
1.483, 15
1.375, 10
1.348, 9
1.138, 6

```
data_PmHo6In5
_chemical_formula_sum 'Pm2 Ho12 In10'
_cell_length_a 4.9814
_cell_length_b 8.7490
_cell_length_c 15.0591
_cell_angle_alpha 90.00
_cell_angle_beta 90.00
_cell_angle_gamma 90.00
_space_group_name_H-M_alt 'I m m m'
_space_group_IT_number 71
_space_group_name_Hall '-I 2 2'
loop_
_atom_site_label
_atom_site_type_symbol
_atom_site_fract_x
_atom_site_fract_y
_atom_site_fract_z
Pm1 Pm 0.0000 0.0000 0.0000
Ho1 Ho 0.0000 0.2261 0.5000
Ho2 Ho 0.0000 0.2640 0.1699
In1 In 0.0000 0.0000 0.3218
In2 In 0.0000 0.5000 0.0000
In3 In 0.0000 0.5000 0.3470
```